No. 1
Computed X-ray diffraction stick pattern
Compound: SrAl2W2
Radiation: CuKα
Structure: a crystal structure in Alexandria, relaxed with GGA-PBE

Structure:
```
data_SrAl2W2
_cell_length_a 4.9500
_cell_length_b 4.9500
_cell_length_c 8.8434
_cell_angle_alpha 90.00
_cell_angle_beta 90.00
_cell_angle_gamma 90.00
_space_group_name_H-M_alt 'I 4/m m m'
_space_group_IT_number 139
_space_group_name_Hall '-I 4 2'
loop_
_atom_site_label
_atom_site_type_symbol
_atom_site_fract_x
_atom_site_fract_y
_atom_site_fract_z
_atom_site_occupancy
Sr1 Sr 0.0000 0.0000 0.0000 1
Al1 Al 0.0000 0.5000 0.2500 1
W1 W 0.0000 0.0000 0.3638 1
```

Top 10 peaks for 10° ≤ 2θ ≤ 90°, sorted by position:
| Position (°2θ) | d (Å) | I/Imax | index |
| --- | --- | --- | --- |
| 20.6 | 4.319 | 47 | 1 0 1 |
| 25.4 | 3.500 | 100 | 1 1 0 |
| 35.4 | 2.533 | 84 | 1 0 3 |
| 36.3 | 2.475 | 65 | 2 0 0 |
| 42.1 | 2.147 | 15 | 2 1 1 |
| 48.7 | 1.869 | 22 | 1 1 4 |
| 51.6 | 1.770 | 58 | 2 1 3 |
| 52.3 | 1.750 | 23 | 2 2 0 |
| 59.0 | 1.565 | 20 | 3 1 0 |
| 76.6 | 1.245 | 18 | 3 2 3 |

No. 2
Computed X-ray diffraction stick pattern
Compound: Pm7CdS5
Radiation: CuKα
Structure: a crystal structure in Alexandria, relaxed with GGA-PBE

Structure:
```
data_Pm7CdS5
_cell_length_a 4.0598
_cell_length_b 6.9977
_cell_length_c 24.3706
_cell_angle_alpha 89.98
_cell_angle_beta 90.00
_cell_angle_gamma 73.20
_space_group_name_H-M_alt 'P -1'
_space_group_IT_number 2
_space_group_name_Hall '-P 1'
loop_
_atom_site_label
_atom_site_type_symbol
_atom_site_fract_x
_atom_site_fract_y
_atom_site_fract_z
_atom_site_occupancy
Pm1 Pm 0.0225 0.4548 0.2501 1
Pm2 Pm 0.1350 0.2295 0.9638 1
Pm3 Pm 0.1356 0.2282 0.5362 1
Pm4 Pm 0.3239 0.8526 0.3287 1
Pm5 Pm 0.3248 0.8508 0.1712 1
Pm6 Pm 0.4100 0.6803 0.8937 1
Pm7 Pm 0.4108 0.6787 0.6063 1
Cd1 Cd 0.2947 0.9090 0.7502 1
S1 S 0.0433 0.4135 0.8599 1
S2 S 0.0430 0.4140 0.6401 1
S3 S 0.2272 0.0459 0.4306 1
S4 S 0.2267 0.0468 0.0694 1
S5 S 0.5000 0.5000 0.0000 1
S6 S 0.5000 0.5000 0.5000 1
```

Top 10 peaks for 10° ≤ 2θ ≤ 90°, sorted by position:
| Position (°2θ) | d (Å) | I/Imax | index |
| --- | --- | --- | --- |
| 27.2 | 3.276 | 48 | 1 0 -4 |
| 28.9 | 3.090 | 100 | 0 1 -7 |
| 29.4 | 3.039 | 39 | 1 1 5 |
| 30.7 | 2.917 | 91 | 1 2 -2 |
| 31.8 | 2.818 | 65 | -1 1 3 |
| 43.9 | 2.065 | 22 | 1 0 -10 |
| 44.6 | 2.031 | 77 | 2 1 0 |
| 46.4 | 1.958 | 22 | 1 3 6 |
| 54.1 | 1.697 | 35 | 2 2 -7 |
| 72.9 | 1.297 | 18 | 1 5 -7 |